(1)
Simulated XRD peak list
Compound: Ba2LaIrO6
Radiation: Cu Ka
Structure: a structure optimized by DFT (PBE)
Neutral-atom scattering factors, no anomalous dispersion.

Most intense lines, 2θ from 10° to 90°, in order of rising 2θ:
d_spacing  Rel. int.
4.997  3.0
4.327  3.8
3.060  100.0
2.164  28.2
1.935  1.5
1.767  40.8
1.530  17.9
1.368  18.5
1.249  5.9
1.157  21.9

abc: 6.1197 6.1197 6.1197
angles: 60.00 60.00 60.00
Fractional coordinates of all 10 atoms:
Ba (0.2500, 0.2500, 0.2500)
Ba (0.7500, 0.7500, 0.7500)
La (0.0000, 0.0000, 0.0000)
Ir (0.5000, 0.5000, 0.5000)
O (0.2707, 0.2707, 0.7293)
O (0.2707, 0.7293, 0.2707)
O (0.2707, 0.7293, 0.7293)
O (0.7293, 0.2707, 0.2707)
O (0.7293, 0.2707, 0.7293)
O (0.7293, 0.7293, 0.2707)

(2)
Simulated XRD peak list
Compound: K2TcC2S4NO4
Radiation: Cu Ka
Structure: a structure optimized by DFT (PBE)
Neutral-atom scattering factors, no anomalous dispersion.

Most intense lines, 2θ from 10° to 90°, in order of rising 2θ:
d_spacing  Rel. int.
6.150  100.0
5.872  94.5
4.778  36.4
4.629  28.2
4.456  44.6
3.949  27.0
3.534  37.3
3.184  35.2
2.894  52.5
2.748  86.3

abc: 7.9058 16.4335 11.8939
angles: 90.00 128.88 90.00
Fractional coordinates of all 56 atoms:
K (0.1459, 0.1814, 0.4113)
K (0.1459, 0.3186, 0.9113)
K (0.1523, 0.0449, 0.8697)
K (0.1523, 0.4551, 0.3697)
K (0.8477, 0.5449, 0.6303)
K (0.8477, 0.9551, 0.1303)
K (0.8541, 0.6814, 0.0887)
K (0.8541, 0.8186, 0.5887)
Tc (0.4954, 0.1842, 0.2463)
Tc (0.4954, 0.3158, 0.7463)
Tc (0.5046, 0.6842, 0.2537)
Tc (0.5046, 0.8158, 0.7537)
C (0.4712, 0.6442, 0.6387)
C (0.4712, 0.8558, 0.1387)
C (0.4725, 0.5087, 0.1528)
C (0.4725, 0.9913, 0.6528)
C (0.5275, 0.0087, 0.3472)
C (0.5275, 0.4913, 0.8472)
C (0.5288, 0.1442, 0.8613)
C (0.5288, 0.3558, 0.3613)
S (0.2472, 0.5786, 0.1036)
S (0.2472, 0.9214, 0.6036)
S (0.2506, 0.7134, 0.5871)
S (0.2506, 0.7866, 0.0871)
S (0.2968, 0.2087, 0.7560)
S (0.2968, 0.2913, 0.2560)
S (0.2983, 0.0750, 0.2489)
S (0.2983, 0.4250, 0.7489)
S (0.7017, 0.5750, 0.2511)
S (0.7017, 0.9250, 0.7511)
S (0.7032, 0.7087, 0.7440)
S (0.7032, 0.7913, 0.2440)
S (0.7494, 0.2134, 0.9129)
S (0.7494, 0.2866, 0.4129)
S (0.7528, 0.0786, 0.3964)
S (0.7528, 0.4214, 0.8964)
N (0.4536, 0.1865, 0.0916)
N (0.4536, 0.3135, 0.5916)
N (0.5464, 0.6865, 0.4084)
N (0.5464, 0.8135, 0.9084)
O (0.0762, 0.6774, 0.5917)
O (0.0762, 0.8226, 0.0917)
O (0.1071, 0.5475, 0.1433)
O (0.1071, 0.9525, 0.6433)
O (0.4567, 0.5752, 0.5955)
O (0.4567, 0.9248, 0.0955)
O (0.4580, 0.0606, 0.6130)
O (0.4580, 0.4394, 0.1130)
O (0.5420, 0.5606, 0.8870)
O (0.5420, 0.9394, 0.3870)
O (0.5433, 0.0752, 0.9045)
O (0.5433, 0.4248, 0.4045)
O (0.8929, 0.0475, 0.3567)
O (0.8929, 0.4525, 0.8567)
O (0.9238, 0.1774, 0.9083)
O (0.9238, 0.3226, 0.4083)

(3)
Simulated XRD peak list
Compound: CdClO
Radiation: Cu Ka
Structure: a structure optimized by DFT (PBE)
Neutral-atom scattering factors, no anomalous dispersion.

Most intense lines, 2θ from 10° to 90°, in order of rising 2θ:
d_spacing  Rel. int.
4.781  64.0
3.301  24.0
3.120  100.0
2.717  14.8
2.293  85.1
1.906  38.5
1.770  25.0
1.490  17.6
1.466  18.9
1.162  17.7

abc: 3.8118 3.8118 9.5626
angles: 90.00 90.00 120.00
Fractional coordinates of all 6 atoms:
Cd (0.3333, 0.6667, 0.0000)
Cd (0.6667, 0.3333, 0.5000)
Cl (0.3333, 0.6667, 0.3197)
Cl (0.6667, 0.3333, 0.8197)
O (0.0000, 0.0000, 0.0602)
O (0.0000, 0.0000, 0.5602)

(4)
Simulated XRD peak list
Compound: RbVCl3
Radiation: Cu Ka
Structure: a structure optimized by DFT (PBE)
Neutral-atom scattering factors, no anomalous dispersion.

Most intense lines, 2θ from 10° to 90°, in order of rising 2θ:
d_spacing  Rel. int.
6.191  18.0
4.395  24.9
3.575  36.1
3.120  17.5
2.773  100.0
2.198  37.6
1.872  17.5
1.787  25.1
1.727  21.5
1.503  17.8

abc: 7.1491 7.1491 6.2404
angles: 90.00 90.00 120.00
Fractional coordinates of all 10 atoms:
Rb (0.3333, 0.6667, 0.2500)
Rb (0.6667, 0.3333, 0.7500)
V (0.0000, 0.0000, 0.0000)
V (0.0000, 0.0000, 0.5000)
Cl (0.1571, 0.3142, 0.7500)
Cl (0.1571, 0.8429, 0.7500)
Cl (0.3142, 0.1571, 0.2500)
Cl (0.6858, 0.8429, 0.7500)
Cl (0.8429, 0.1571, 0.2500)
Cl (0.8429, 0.6858, 0.2500)